Diffraction record for LiZnInF6. The X-ray diffraction stick pattern is computed, not measured: it uses a PBE-relaxed structure and Cu Kα (λ = 1.5418 Å).
No peak broadening, texture or thermal motion is included.

```
18
Lattice="4.846 0.000 0.000 0.000 4.846 0.000 0.000 0.000 9.648" Properties=species:S:1:pos:R:3 pbc="T T T"
Li 0.000 0.000 0.000
Li 2.423 2.423 4.824
Zn 0.000 0.000 6.459
Zn 2.423 2.423 1.635
In 0.000 0.000 3.239
In 2.423 2.423 8.064
F 0.933 0.933 8.052
F 0.956 0.956 4.868
F 0.969 0.969 1.627
F 1.454 3.392 6.451
F 1.467 3.379 0.044
F 1.490 3.356 3.228
F 3.356 1.490 3.228
F 3.379 1.467 0.044
F 3.392 1.454 6.451
F 3.877 3.877 1.627
F 3.890 3.890 4.868
F 3.913 3.913 8.052
```

Principal peaks in the range 2θ = 10–90°, in order of falling intensity:
26.00°, I = 100; 20.51°, I = 76; 50.80°, I = 70; 33.44°, I = 57; 32.04°, I = 26; 64.56°, I = 26; 18.39°, I = 25; 42.76°, I = 23; 53.48°, I = 20; 41.70°, I = 19; 38.39°, I = 18; 63.95°, I = 15

***

Diffraction record for LiZnInF6. The X-ray diffraction stick pattern is computed, not measured: it uses a PBE-relaxed structure and Cu Kα (λ = 1.5418 Å).
No peak broadening, texture or thermal motion is included.

```
27
Lattice="9.072 0.000 0.000 -4.536 7.857 0.000 0.000 0.000 4.713" Properties=species:S:1:pos:R:3 pbc="T T T"
Li -3.171 5.493 0.000
Li 1.365 2.363 0.000
Li 6.343 0.000 0.000
Zn -1.617 2.800 2.357
Zn 3.233 0.000 2.357
Zn 2.919 5.057 2.357
In 0.000 0.000 2.357
In 0.000 5.238 4.703
In 4.536 2.619 0.010
F -0.104 1.791 3.461
F -1.587 4.446 3.558
F -2.933 7.051 3.461
F -0.064 3.460 1.117
F -1.508 6.182 1.117
F 1.603 0.806 1.252
F 1.479 4.259 3.558
F 3.028 1.674 3.596
F 0.108 7.008 3.558
F 2.949 3.410 1.155
F 1.572 6.072 1.117
F 4.644 0.849 1.155
F 3.037 6.871 3.461
F 4.472 4.397 3.596
F 6.108 1.785 3.596
F 4.432 6.065 1.252
F 6.015 3.598 1.155
F 7.573 0.985 1.252
```

Principal peaks in the range 2θ = 10–90°, in order of falling intensity:
19.57°, I = 100; 21.99°, I = 93; 27.29°, I = 92; 52.22°, I = 90; 29.60°, I = 66; 35.74°, I = 58; 34.24°, I = 45; 39.36°, I = 38; 61.31°, I = 36; 54.51°, I = 30; 43.27°, I = 27; 44.32°, I = 22